Structure and calculated powder X-ray diffraction pattern of PaZn2Co2 (a DFT-relaxed cell (GGA-PBE, Alexandria); a wavelength of 1.5418 Å).

Top 12 peaks for 15° ≤ 2θ ≤ 90°, low angle first:
| hkl | Position (°2θ) | d/Å | I_rel |
| --- | --- | --- | --- |
| 1 0 -1 | 19.14 | 4.636 | 49 |
| 0 1 1 | 24.47 | 3.638 | 20 |
| 1 0 -2 | 25.01 | 3.560 | 22 |
| 1 1 0 | 29.06 | 3.073 | 65 |
| 1 1 -2 | 33.34 | 2.687 | 46 |
| 1 0 -3 | 33.93 | 2.642 | 23 |
| 2 0 -1 | 37.03 | 2.428 | 25 |
| 1 1 2 | 40.41 | 2.232 | 68 |
| 0 1 3 | 40.65 | 2.220 | 100 |
| 2 0 -3 | 43.89 | 2.063 | 26 |
| 0 2 0 | 44.23 | 2.048 | 48 |
| 2 1 0 | 44.81 | 2.023 | 43 |

Atomic structure:
a b c (Å): 4.856 4.096 8.265
angles (deg): 90.00 106.65 90.00
Fractional coordinates of all 10 atoms:
Pa 0.176 0.250 0.270
Pa 0.824 0.750 0.730
Zn 0.257 0.250 0.648
Zn 0.386 0.750 0.031
Zn 0.614 0.250 0.969
Zn 0.743 0.750 0.352
Co 0.077 0.250 0.910
Co 0.312 0.750 0.466
Co 0.688 0.250 0.534
Co 0.923 0.750 0.090